This entry pairs a crystal structure of Mo13W2 with its computed X-ray diffraction stick pattern. Radiation: Cu Kα (λ = 1.5418 Å). Structure: a cell relaxed with PBE.

Top 8 peaks for 5 to 70 degrees two-theta, low angle first:
d/Å, Rel. int.
2.335, 37
2.293, 48
2.282, 53
2.274, 64
2.266, 62
2.260, 100
2.237, 66
2.197, 76

Unit cell a=6.8719 b=6.9775 c=7.0216 alpha=92.46 beta=117.74 gamma=119.06
Positions (direct):
1 Mo 0.0000 0.0000 0.0000
2 Mo 0.1441 0.4187 0.5816
3 Mo 0.1866 0.0630 0.7090
4 Mo 0.2236 0.8200 0.3317
5 Mo 0.3463 0.4801 0.0650
6 Mo 0.3968 0.2766 0.4475
7 Mo 0.4774 0.8586 0.8386
8 Mo 0.5226 0.1414 0.1614
9 Mo 0.6032 0.7234 0.5525
10 Mo 0.6537 0.5199 0.9350
11 Mo 0.7764 0.1800 0.6683
12 Mo 0.8134 0.9370 0.2910
13 Mo 0.8559 0.5813 0.4184
14 W 0.0326 0.6536 0.8608
15 W 0.9674 0.3464 0.1392

=====

This entry pairs a crystal structure of Tb2InTe4 with its computed X-ray diffraction stick pattern. Radiation: Cu Kα (λ = 1.5418 Å). Structure: a cell relaxed with PBE.

Top 8 peaks for 5 to 70 degrees two-theta, low angle first:
d/Å, Rel. int.
7.406, 19
3.868, 52
3.207, 74
2.469, 36
2.268, 100
1.851, 19
1.670, 12
1.433, 16

Unit cell a=9.0741 b=9.0741 c=9.0741 alpha=120.08 beta=120.08 gamma=89.86
Positions (direct):
1 Tb 0.0000 0.0000 0.0000
2 Tb 0.0000 0.0000 0.5000
3 Tb 0.0000 0.5000 0.0000
4 Tb 0.5000 0.0000 0.5000
5 In 0.3750 0.6250 0.7500
6 In 0.6250 0.3750 0.2500
7 Te 0.2247 0.2412 0.9835
8 Te 0.2412 0.2247 0.4835
9 Te 0.2412 0.7577 0.0165
10 Te 0.2423 0.7588 0.4835
11 Te 0.7577 0.2412 0.5165
12 Te 0.7588 0.2423 0.9835
13 Te 0.7588 0.7753 0.5165
14 Te 0.7753 0.7588 0.0165

=====

This entry pairs a crystal structure of CeThN4 with its computed X-ray diffraction stick pattern. Radiation: Cu Kα (λ = 1.5418 Å). Structure: a cell relaxed with PBE.

Top 8 peaks for 5 to 70 degrees two-theta, low angle first:
d/Å, Rel. int.
6.835, 25
3.415, 57
3.393, 34
3.132, 100
2.976, 40
2.896, 26
2.340, 24
1.953, 25

Unit cell a=3.9478 b=3.9478 c=6.8902 alpha=96.30 beta=96.30 gamma=59.93
Positions (direct):
1 Ce 0.0000 0.0000 0.0000
2 Th 0.6056 0.6056 0.5743
3 N 0.2359 0.2359 0.3428
4 N 0.3579 0.3579 0.2254
5 N 0.6509 0.6509 0.9216
6 N 0.9521 0.9521 0.6554

=====

This entry pairs a crystal structure of VBN with its computed X-ray diffraction stick pattern. Radiation: Cu Kα (λ = 1.5418 Å). Structure: a cell relaxed with PBE.

Top 8 peaks for 5 to 70 degrees two-theta, low angle first:
d/Å, Rel. int.
4.138, 100
2.395, 27
2.353, 16
2.272, 93
2.234, 41
1.918, 34
1.741, 28
1.434, 17

Unit cell a=4.4379 b=2.8367 c=4.7916 alpha=90.00 beta=111.19 gamma=90.00
Positions (direct):
1 V 0.0000 0.0000 0.0000
2 V 0.0253 0.5000 0.5132
3 B 0.6135 0.5000 0.1371
4 B 0.6252 0.0000 0.4581
5 N 0.2900 0.5000 0.9375
6 N 0.2992 0.0000 0.4383

=====

This entry pairs a crystal structure of Dy2ThH8 with its computed X-ray diffraction stick pattern. Radiation: Cu Kα (λ = 1.5418 Å). Structure: a cell relaxed with PBE.

Top 8 peaks for 5 to 70 degrees two-theta, low angle first:
d/Å, Rel. int.
3.040, 100
3.025, 99
2.759, 38
2.567, 63
1.879, 53
1.641, 34
1.560, 28
1.554, 28

Unit cell a=6.3822 b=6.3822 c=6.3822 alpha=147.08 beta=128.77 gamma=62.25
Positions (direct):
1 Dy 0.1684 0.1684 0.0000
2 Dy 0.8316 0.8316 0.0000
3 Th 0.5000 0.5000 0.0000
4 H 0.0706 0.3332 0.7375
5 H 0.2207 0.0000 0.2207
6 H 0.3468 0.8468 0.5000
7 H 0.4043 0.6668 0.7375
8 H 0.5957 0.3332 0.2625
9 H 0.6532 0.1532 0.5000
10 H 0.7793 0.0000 0.7793
11 H 0.9294 0.6668 0.2625

=====

This entry pairs a crystal structure of CeTh2ReN5 with its computed X-ray diffraction stick pattern. Radiation: Cu Kα (λ = 1.5418 Å). Structure: a cell relaxed with PBE.

Top 8 peaks for 5 to 70 degrees two-theta, low angle first:
d/Å, Rel. int.
2.937, 100
2.398, 34
1.858, 20
1.697, 12
1.628, 13
1.516, 12
1.470, 8
1.347, 9

Unit cell a=7.5871 b=7.5871 c=7.5871 alpha=126.93 beta=126.93 gamma=78.36
Positions (direct):
1 Ce 0.2500 0.2500 0.0000
2 Ce 0.7500 0.7500 0.0000
3 Th 0.1767 0.6767 0.8535
4 Th 0.3233 0.1767 0.5000
5 Th 0.6767 0.8233 0.5000
6 Th 0.8233 0.3233 0.1465
7 Re 0.2500 0.7500 0.5000
8 Re 0.7500 0.2500 0.5000
9 N 0.0000 0.0000 0.0000
10 N 0.0070 0.2114 0.5000
11 N 0.2114 0.7114 0.2045
12 N 0.2886 0.4930 0.5000
13 N 0.4930 0.9930 0.2045
14 N 0.5000 0.5000 0.0000
15 N 0.5070 0.0070 0.7955
16 N 0.7114 0.5070 0.5000
17 N 0.7886 0.2886 0.7955
18 N 0.9930 0.7886 0.5000

=====

This entry pairs a crystal structure of Pm4Nd4Sm3 with its computed X-ray diffraction stick pattern. Radiation: Cu Kα (λ = 1.5418 Å). Structure: a cell relaxed with PBE.

Top 8 peaks for 5 to 70 degrees two-theta, low angle first:
d/Å, Rel. int.
2.977, 34
2.944, 18
2.910, 39
2.844, 100
2.709, 15
1.667, 21
1.519, 15
1.511, 14

Unit cell a=10.8376 b=6.7756 c=6.7756 alpha=50.87 beta=90.00 gamma=90.00
Positions (direct):
1 Pm 0.0000 0.0000 0.0000
2 Pm 0.2078 0.7981 0.7981
3 Pm 0.5000 0.9355 0.9355
4 Pm 0.7922 0.7981 0.7981
5 Nd 0.0000 0.5918 0.5918
6 Nd 0.2955 0.1449 0.1449
7 Nd 0.5000 0.6635 0.6635
8 Nd 0.7045 0.1449 0.1449
9 Sm 0.0000 0.2971 0.2971
10 Sm 0.2984 0.4474 0.4474
11 Sm 0.7016 0.4474 0.4474

=====

This entry pairs a crystal structure of Cu3Ru with its computed X-ray diffraction stick pattern. Radiation: Cu Kα (λ = 1.5418 Å). Structure: a cell relaxed with PBE.

Top 8 peaks for 5 to 70 degrees two-theta, low angle first:
d/Å, Rel. int.
4.561, 4
4.315, 4
3.418, 2
2.164, 54
2.157, 54
2.105, 100
1.895, 36
1.824, 63

Unit cell a=4.5503 b=4.5503 c=4.6198 alpha=98.81 beta=98.81 gamma=32.31
Positions (direct):
1 Cu 0.0000 0.0000 0.0000
2 Cu 0.2509 0.2509 0.7528
3 Cu 0.7491 0.7491 0.2472
4 Ru 0.5000 0.5000 0.5000

=====

This entry pairs a crystal structure of Dy3TaO7 with its computed X-ray diffraction stick pattern. Radiation: Cu Kα (λ = 1.5418 Å). Structure: a cell relaxed with PBE.

Top 8 peaks for 5 to 70 degrees two-theta, low angle first:
d/Å, Rel. int.
3.091, 98
3.032, 100
2.709, 26
2.650, 23
2.598, 25
1.894, 30
1.875, 28
1.587, 27

Unit cell a=8.1650 b=5.4182 c=7.5295 alpha=90.00 beta=116.33 gamma=90.00
Positions (direct):
1 Dy 0.0000 0.0138 0.0000
2 Dy 0.0000 0.9862 0.5000
3 Dy 0.2399 0.4821 0.8527
4 Dy 0.2399 0.5179 0.3527
5 Dy 0.7517 0.4831 0.1481
6 Dy 0.7517 0.5169 0.6481
7 Ta 0.4961 0.0022 0.2480
8 Ta 0.4961 0.9978 0.7480
9 O 0.0027 0.2546 0.7303
10 O 0.0027 0.7454 0.2303
11 O 0.2700 0.2185 0.1591
12 O 0.2700 0.7815 0.6591
13 O 0.3275 0.2755 0.6212
14 O 0.3275 0.7245 0.1212
15 O 0.4973 0.1311 0.9985
16 O 0.4973 0.8689 0.4985
17 O 0.6529 0.2915 0.3733
18 O 0.6529 0.7085 0.8733
19 O 0.7213 0.2058 0.8331
20 O 0.7213 0.7942 0.3331
21 O 0.9881 0.2539 0.2649
22 O 0.9881 0.7461 0.7649

=====

This entry pairs a crystal structure of NaBr2 with its computed X-ray diffraction stick pattern. Radiation: Cu Kα (λ = 1.5418 Å). Structure: a cell relaxed with PBE.

Top 8 peaks for 5 to 70 degrees two-theta, low angle first:
d/Å, Rel. int.
4.001, 100
3.031, 44
2.678, 17
2.663, 31
2.549, 55
2.001, 52
1.904, 22
1.889, 24

Unit cell a=4.3506 b=4.3506 c=5.8145 alpha=111.97 beta=111.97 gamma=75.48
Positions (direct):
1 Na 0.0000 0.0000 0.0000
2 Br 0.4969 0.4969 0.2506
3 Br 0.5031 0.5031 0.7494

=====

This entry pairs a crystal structure of La2Al12Ni3Ag with its computed X-ray diffraction stick pattern. Radiation: Cu Kα (λ = 1.5418 Å). Structure: a cell relaxed with PBE.

Top 8 peaks for 5 to 70 degrees two-theta, low angle first:
d/Å, Rel. int.
4.113, 79
3.501, 100
3.335, 71
2.591, 68
2.536, 84
2.197, 76
2.057, 68
1.752, 63

Unit cell a=7.9150 b=7.9150 c=7.9150 alpha=62.63 beta=62.63 gamma=62.63
Positions (direct):
1 La 0.0814 0.0814 0.0814
2 La 0.9186 0.9186 0.9186
3 Al 0.0468 0.6619 0.6619
4 Al 0.2689 0.2689 0.6193
5 Al 0.2689 0.6193 0.2689
6 Al 0.3381 0.3381 0.9532
7 Al 0.3381 0.9532 0.3381
8 Al 0.3807 0.7311 0.7311
9 Al 0.6193 0.2689 0.2689
10 Al 0.6619 0.0468 0.6619
11 Al 0.6619 0.6619 0.0468
12 Al 0.7311 0.3807 0.7311
13 Al 0.7311 0.7311 0.3807
14 Al 0.9532 0.3381 0.3381
15 Ni 0.0000 0.5000 0.5000
16 Ni 0.5000 0.0000 0.5000
17 Ni 0.5000 0.5000 0.0000
18 Ag 0.5000 0.5000 0.5000

=====

This entry pairs a crystal structure of Pm3Sm8Th2 with its computed X-ray diffraction stick pattern. Radiation: Cu Kα (λ = 1.5418 Å). Structure: a cell relaxed with PBE.

Top 8 peaks for 5 to 70 degrees two-theta, low angle first:
d/Å, Rel. int.
2.989, 33
2.923, 100
2.879, 53
2.858, 58
2.810, 74
2.755, 50
2.711, 82
2.703, 46

Unit cell a=7.0899 b=8.4605 c=15.6856 alpha=89.07 beta=82.63 gamma=76.95
Positions (direct):
1 Pm 0.0000 0.0000 0.0000
2 Pm 0.0000 0.5000 0.5000
3 Pm 0.3025 0.0567 0.1979
4 Pm 0.4281 0.4451 0.2938
5 Pm 0.5719 0.5549 0.7062
6 Pm 0.6975 0.9433 0.8021
7 Sm 0.0486 0.5700 0.7179
8 Sm 0.1559 0.6950 0.1435
9 Sm 0.2001 0.9196 0.7737
10 Sm 0.2332 0.1327 0.4251
11 Sm 0.2861 0.7907 0.5545
12 Sm 0.3219 0.2929 0.8683
13 Sm 0.4014 0.2073 0.6370
14 Sm 0.4635 0.6794 0.9368
15 Sm 0.5365 0.3206 0.0632
16 Sm 0.5986 0.7927 0.3630
17 Sm 0.6781 0.7071 0.1317
18 Sm 0.7139 0.2093 0.4455
19 Sm 0.7668 0.8673 0.5749
20 Sm 0.7999 0.0804 0.2263
21 Sm 0.8441 0.3050 0.8565
22 Sm 0.9514 0.4300 0.2821
23 Th 0.0100 0.3551 0.0708
24 Th 0.0785 0.8130 0.3599
25 Th 0.9215 0.1870 0.6401
26 Th 0.9900 0.6449 0.9292